The following is a computed powder X-ray diffraction pattern of Li7TlBi4. It was derived from a cell relaxed with GGA-PBE, using Cu Kα (weighted mean of Kα1 and Kα2).

Top 10 peaks for 10° ≤ 2θ ≤ 80°, in order of rising 2θ:
2theta	Rel. int.
20.12	210
23.85	1000
24.06	158
25.02	160
28.14	538
30.35	399
34.55	270
40.28	210
46.64	251
47.68	191

Cell and atoms:
a b c (Å): 6.7226 6.7226 10.6776
angles (deg): 121.26 121.26 45.43
Sites, in units of the cell vectors:
Li  0.0000  0.0000  0.0000
Li  0.1863  0.1863  0.9048
Li  0.2282  0.2282  0.6470
Li  0.4032  0.4032  0.5478
Li  0.5968  0.5968  0.4522
Li  0.7718  0.7718  0.3530
Li  0.8137  0.8137  0.0952
Tl  0.5000  0.5000  0.0000
Bi  0.0925  0.0925  0.3096
Bi  0.3031  0.3031  0.2276
Bi  0.6969  0.6969  0.7724
Bi  0.9075  0.9075  0.6904


The following is a computed powder X-ray diffraction pattern of Li3TlBi3. It was derived from a cell relaxed with GGA-PBE, using Cu Kα (weighted mean of Kα1 and Kα2).

Top 10 peaks for 10° ≤ 2θ ≤ 80°, in order of rising 2θ:
2theta	Rel. int.
23.27	344
26.06	1000
28.60	831
42.64	280
44.34	519
47.58	219
55.05	269
65.79	240
67.06	155
76.87	160

Cell and atoms:
a b c (Å): 7.6446 7.6446 7.6446
angles (deg): 90.00 90.00 90.00
Sites, in units of the cell vectors:
Li  0.0000  0.2500  0.5000
Li  0.0000  0.7500  0.5000
Li  0.2500  0.5000  0.0000
Li  0.5000  0.0000  0.2500
Li  0.5000  0.0000  0.7500
Li  0.7500  0.5000  0.0000
Tl  0.0000  0.0000  0.0000
Tl  0.5000  0.5000  0.5000
Bi  0.0000  0.5000  0.2500
Bi  0.0000  0.5000  0.7500
Bi  0.2500  0.0000  0.5000
Bi  0.5000  0.2500  0.0000
Bi  0.5000  0.7500  0.0000
Bi  0.7500  0.0000  0.5000


The following is a computed powder X-ray diffraction pattern of LiTlZnBi. It was derived from a cell relaxed with GGA-PBE, using Cu Kα (weighted mean of Kα1 and Kα2).

Top 10 peaks for 10° ≤ 2θ ≤ 80°, in order of rising 2θ:
2theta	Rel. int.
21.14	45
24.45	563
34.85	1000
41.12	24
43.04	176
50.12	181
56.53	244
62.49	376
73.59	117
78.88	122

Cell and atoms:
a b c (Å): 5.1484 5.1484 5.1484
angles (deg): 60.00 60.00 60.00
Sites, in units of the cell vectors:
Li  0.0000  0.0000  0.0000
Tl  0.7500  0.7500  0.7500
Zn  0.5000  0.5000  0.5000
Bi  0.2500  0.2500  0.2500


The following is a computed powder X-ray diffraction pattern of LuBiO3. It was derived from a cell relaxed with GGA-PBE, using Cu Kα (weighted mean of Kα1 and Kα2).

Top 10 peaks for 10° ≤ 2θ ≤ 80°, in order of rising 2θ:
2theta	Rel. int.
20.96	193
29.47	899
30.16	1000
42.67	392
47.54	312
53.14	395
53.57	257
62.71	142
64.64	117
70.78	154

Cell and atoms:
a b c (Å): 6.0655 6.0655 6.0655
angles (deg): 58.49 58.49 58.49
Sites, in units of the cell vectors:
Lu  0.0000  0.0000  0.0000
Lu  0.5000  0.5000  0.5000
Bi  0.2867  0.2867  0.2867
Bi  0.7867  0.7867  0.7867
O  0.1426  0.3465  0.6961
O  0.1961  0.8465  0.6426
O  0.3465  0.6961  0.1426
O  0.6426  0.1961  0.8465
O  0.6961  0.1426  0.3465
O  0.8465  0.6426  0.1961


The following is a computed powder X-ray diffraction pattern of Lu3BiRu4O14. It was derived from a cell relaxed with GGA-PBE, using Cu Kα (weighted mean of Kα1 and Kα2).

Top 10 peaks for 10° ≤ 2θ ≤ 80°, in order of rising 2θ:
2theta	Rel. int.
15.07	79
30.42	1000
35.27	341
38.52	46
50.67	232
50.79	232
60.28	323
60.41	106
63.24	76
74.58	68

Cell and atoms:
a b c (Å): 7.1902 7.1902 7.1902
angles (deg): 60.15 60.15 60.15
Sites, in units of the cell vectors:
Lu  0.0000  0.5000  0.5000
Lu  0.5000  0.0000  0.5000
Lu  0.5000  0.5000  0.0000
Bi  0.5000  0.5000  0.5000
Ru  0.0000  0.0000  0.0000
Ru  0.0000  0.0000  0.5000
Ru  0.0000  0.5000  0.0000
Ru  0.5000  0.0000  0.0000
O  0.0814  0.6628  0.6628
O  0.0870  0.0870  0.6634
O  0.0870  0.6634  0.0870
O  0.3372  0.3372  0.9186
O  0.3366  0.9130  0.9130
O  0.3372  0.9186  0.3372
O  0.3683  0.3683  0.3683
O  0.6317  0.6317  0.6317
O  0.6628  0.0814  0.6628
O  0.6634  0.0870  0.0870
O  0.6628  0.6628  0.0814
O  0.9130  0.3366  0.9130
O  0.9130  0.9130  0.3366
O  0.9186  0.3372  0.3372


The following is a computed powder X-ray diffraction pattern of Lu2BiPd. It was derived from a cell relaxed with GGA-PBE, using Cu Kα (weighted mean of Kα1 and Kα2).

Top 10 peaks for 10° ≤ 2θ ≤ 80°, in order of rising 2θ:
2theta	Rel. int.
29.95	1000
32.91	92
41.99	422
43.73	314
52.43	213
62.23	111
69.33	185
71.84	115
76.72	73
77.93	118

Cell and atoms:
a b c (Å): 7.0883 7.0883 7.0883
angles (deg): 35.34 35.34 35.34
Sites, in units of the cell vectors:
Lu  0.2383  0.2383  0.2383
Lu  0.7617  0.7617  0.7617
Bi  0.0000  0.0000  0.0000
Pd  0.5000  0.5000  0.5000


Please write out number 3 again, unchanged.
The following is a computed powder X-ray diffraction pattern of LiTlZnBi. It was derived from a cell relaxed with GGA-PBE, using Cu Kα (weighted mean of Kα1 and Kα2).

Top 10 peaks for 10° ≤ 2θ ≤ 80°, in order of rising 2θ:
2theta	Rel. int.
21.14	45
24.45	563
34.85	1000
41.12	24
43.04	176
50.12	181
56.53	244
62.49	376
73.59	117
78.88	122

Cell and atoms:
a b c (Å): 5.1484 5.1484 5.1484
angles (deg): 60.00 60.00 60.00
Sites, in units of the cell vectors:
Li  0.0000  0.0000  0.0000
Tl  0.7500  0.7500  0.7500
Zn  0.5000  0.5000  0.5000
Bi  0.2500  0.2500  0.2500